The following is a calculated PXRD pattern of ZnPb2F6. It was derived from DFT lattice parameters and positions (GGA-PBE), using Cu Kα, 1.54184 Å.
Kinematic intensities with the Lorentz-polarization factor, no thermal factor.

Atomic structure:
Lattice parameters (Å, degrees): 5.7418 5.7418 16.4059 90.00 90.00 90.00
Atoms (fractional coordinates):
Zn 0.0000 0.0000 0.0000
Zn 0.0000 0.5000 0.5000
Zn 0.5000 0.0000 0.5000
Zn 0.5000 0.5000 0.0000
Pb 0.0118 0.0118 0.3428
Pb 0.0118 0.4882 0.8428
Pb 0.4882 0.0118 0.8428
Pb 0.4882 0.4882 0.3428
Pb 0.5118 0.5118 0.6572
Pb 0.5118 0.9882 0.1572
Pb 0.9882 0.5118 0.1572
Pb 0.9882 0.9882 0.6572
F 0.0631 0.0631 0.8806
F 0.0631 0.4369 0.3806
F 0.2500 0.2500 0.0398
F 0.2500 0.2500 0.2417
F 0.2500 0.2500 0.5398
F 0.2500 0.2500 0.7417
F 0.2500 0.7500 0.0000
F 0.2500 0.7500 0.2500
F 0.2500 0.7500 0.5000
F 0.2500 0.7500 0.7500
F 0.4369 0.0631 0.3806
F 0.4369 0.4369 0.8806
F 0.5631 0.5631 0.1194
F 0.5631 0.9369 0.6194
F 0.7500 0.2500 0.0000
F 0.7500 0.2500 0.2500
F 0.7500 0.2500 0.5000
F 0.7500 0.2500 0.7500
F 0.7500 0.7500 0.2583
F 0.7500 0.7500 0.4602
F 0.7500 0.7500 0.7583
F 0.7500 0.7500 0.9602
F 0.9369 0.5631 0.6194
F 0.9369 0.9369 0.1194

Top 10 peaks for 5 to 70 degrees two-theta, by intensity:
d = 3.260 Å, rel. 100.0, hkl 1 1 3; d = 1.723 Å, rel. 33.7, hkl 3 1 3; d = 2.871 Å, rel. 32.0, hkl 2 0 0; d = 2.030 Å, rel. 29.4, hkl 2 2 0; d = 1.980 Å, rel. 26.7, hkl 2 0 6; d = 2.352 Å, rel. 19.1, hkl 2 0 4; d = 1.663 Å, rel. 14.5, hkl 1 1 9; d = 2.734 Å, rel. 14.4, hkl 0 0 6; d = 1.630 Å, rel. 12.5, hkl 2 2 6; d = 3.941 Å, rel. 12.1, hkl 1 1 1